(1)
Computed powder X-ray diffraction pattern of Sm2Al5Au3 for copper Kα, from a cell relaxed with PBE.
Intensities are scaled so that the largest is 100.

Atomic structure:
abc: 10.7947 12.0835 6.1638
angles: 90.00 90.00 90.00
Space group Ibam (No. 72)
Asymmetric unit:
1 Sm 0.2389 0.1299 0.0000 (multiplicity 8)
2 Al 0.0000 0.0000 0.2500 (multiplicity 4)
3 Al 0.0000 0.2610 0.2500 (multiplicity 8)
4 Al 0.1462 0.3873 0.0000 (multiplicity 8)
5 Au 0.0000 0.5000 0.2500 (multiplicity 4)
6 Au 0.1246 0.1304 0.5000 (multiplicity 8)

Largest 10 diffraction maxima, by intensity, 2θ from 5° to 70°:
(3 2 1), 32.4 deg, I = 100
(0 4 2), 41.9 deg, I = 73
(2 0 2), 33.5 deg, I = 46
(1 3 0), 23.6 deg, I = 43
(2 4 0), 34.0 deg, I = 42
(1 1 2), 31.1 deg, I = 40
(5 2 1), 47.1 deg, I = 37
(3 1 0), 25.8 deg, I = 34
(3 2 3), 53.6 deg, I = 33
(2 1 1), 23.1 deg, I = 32

(2)
Computed powder X-ray diffraction pattern of YAl7Au3 for copper Kα, from a cell relaxed with PBE.
Intensities are scaled so that the largest is 100.

Atomic structure:
abc: 8.1046 8.1046 21.1108
angles: 90.00 90.00 120.00
Space group R-3c (No. 167, hexagonal axes)
Asymmetric unit:
1 Y 0.0000 0.0000 0.0000 (multiplicity 6)
2 Al 0.0000 0.0000 0.2500 (multiplicity 6)
3 Al 0.0105 0.2063 0.1367 (multiplicity 36)
4 Au 0.0000 0.3235 0.2500 (multiplicity 18)

Largest 10 diffraction maxima, by intensity, 2θ from 5° to 70°:
(1 1 3), 25.4 deg, I = 100
(2 2 3), 46.6 deg, I = 47
(1 1 9), 44.6 deg, I = 32
(3 0 0), 38.5 deg, I = 30
(1 1 6), 33.7 deg, I = 24
(3 0 12), 66.5 deg, I = 22
(4 1 3), 62.0 deg, I = 17
(1 1 0), 21.9 deg, I = 9
(2 2 9), 60.4 deg, I = 6
(2 2 6), 52.1 deg, I = 6

(3)
Computed powder X-ray diffraction pattern of Ba2Nd2Al3B12O27 for copper Kα, from a cell relaxed with PBE.
Intensities are scaled so that the largest is 100.

Atomic structure:
abc: 4.6452 4.6452 24.5332
angles: 90.00 90.00 120.00
Space group P-62m (No. 189)
Asymmetric unit:
1 Ba 0.0000 0.0000 0.1468 (multiplicity 2)
2 Nd 0.0000 0.0000 0.2999 (multiplicity 2)
3 Al 0.0000 0.6270 0.5000 (multiplicity 3)
4 B 0.3333 0.6667 0.0679 (multiplicity 4)
5 B 0.3333 0.6667 0.2202 (multiplicity 4)
6 B 0.3333 0.6667 0.3870 (multiplicity 4)
7 O 0.0000 0.0000 0.5000 (multiplicity 1)
8 O 0.0000 0.4120 0.2473 (multiplicity 6)
9 O 0.0000 0.4122 0.3703 (multiplicity 6)
10 O 0.0000 0.4205 0.0633 (multiplicity 6)
11 O 0.3333 0.6667 0.1648 (multiplicity 4)
12 O 0.3333 0.6667 0.4522 (multiplicity 4)

Largest 10 diffraction maxima, by intensity, 2θ from 5° to 70°:
(1 0 7), 33.9 deg, I = 100
(0 0 2), 7.2 deg, I = 94
(1 0 2), 23.3 deg, I = 83
(1 0 5), 28.7 deg, I = 72
(1 0 0), 22.1 deg, I = 63
(1 1 0), 38.8 deg, I = 50
(1 1 7), 46.9 deg, I = 49
(1 0 6), 31.2 deg, I = 48
(2 0 0), 45.1 deg, I = 35
(0 0 5), 18.1 deg, I = 27